Rb2InGaHg6: computed powder XRD pattern (Cu Kα (weighted mean of Kα1 and Kα2)), based on a PBE-relaxed structure.
Intensities are scaled so that the largest is 100.

Principal peaks in the range 15° ≤ 2θ ≤ 90°, sorted by position:
h k l, 2theta, I/Imax
1 2 0, 25.34, 71.6
2 0 0, 29.98, 77.8
2 2 2, 30.11, 75.7
2 2 0, 32.16, 74.3
2 0 2, 32.27, 67.3
0 2 2, 32.69, 100.0

Structural model:
```
Rb2InGaHg6
1.0
7.084 0.000 0.000
3.533 6.844 0.000
3.499 1.461 7.191
Rb In Ga Hg
2 1 1 6
direct
0.249 0.309 0.196
0.751 0.691 0.804
0.000 0.000 0.000
0.500 0.500 0.500
0.245 0.856 0.640
0.253 0.771 0.264
0.287 0.226 0.722
0.713 0.774 0.278
0.747 0.229 0.736
0.755 0.144 0.360
```